(1)
Diffraction record for PrPH5CO7. The X-ray powder pattern is simulated, not measured: it uses the PBE geometry in the Materials Project and Cu Kα (weighted mean of Kα1 and Kα2).
Lines closer than 0.1° are merged.

Cell and atoms:
abc: 6.7618 7.1465 7.8436
angles: 69.46 84.20 89.50
Space group P-1 (No. 2)
Asymmetric unit:
1 Pr 0.1322 0.2233 0.0649 (multiplicity 2)
2 P 0.3241 0.7464 0.0185 (multiplicity 2)
3 H 0.1681 0.5185 0.6704 (multiplicity 2)
4 H 0.2862 0.3332 0.6365 (multiplicity 2)
5 H 0.3715 0.7093 0.1979 (multiplicity 2)
6 H 0.4491 0.8406 0.4355 (multiplicity 2)
7 H 0.4661 0.2565 0.3764 (multiplicity 2)
8 C 0.0654 0.9106 0.4989 (multiplicity 2)
9 O 0.0546 0.7590 0.6456 (multiplicity 2)
10 O 0.1737 0.9292 0.3525 (multiplicity 2)
11 O 0.1811 0.5752 0.0254 (multiplicity 2)
12 O 0.1980 0.9375 0.9633 (multiplicity 2)
13 O 0.2069 0.3784 0.7285 (multiplicity 2)
14 O 0.4324 0.2221 0.5085 (multiplicity 2)
15 O 0.4810 0.2346 0.1038 (multiplicity 2)

The 12 most intense peaks (2θ = 5–70°), by angle:
d [Å]	two_theta	I (rel.)
7.305	12.12	100.0
6.719	13.18	39.6
4.812	18.44	13.1
4.708	18.85	14.8
4.672	18.99	23.5
3.652	24.37	24.4
3.550	25.08	21.5
3.345	26.65	22.4
3.061	29.18	16.2
3.026	29.51	28.4
2.743	32.64	11.3
2.215	40.73	14.2

---

(2)
Diffraction record for MnP4. The X-ray powder pattern is simulated, not measured: it uses the PBE geometry in the Materials Project and Cu Kα (weighted mean of Kα1 and Kα2).
Lines closer than 0.1° are merged.

Cell and atoms:
abc: 4.7624 13.6834 7.0317
angles: 90.00 102.06 90.00
Space group P2_1/c (No. 14)
Asymmetric unit:
1 Mn 0.0000 0.0000 0.0000 (multiplicity 2)
2 Mn 0.1316 0.1658 0.3693 (multiplicity 4)
3 P 0.0780 0.7254 0.8734 (multiplicity 4)
4 P 0.2100 0.5523 0.2500 (multiplicity 4)
5 P 0.2645 0.6139 0.7013 (multiplicity 4)
6 P 0.3569 0.1088 0.1403 (multiplicity 4)
7 P 0.3720 0.0564 0.5667 (multiplicity 4)
8 P 0.4915 0.2208 0.9581 (multiplicity 4)

The 12 most intense peaks (2θ = 5–70°), by angle:
d [Å]	two_theta	I (rel.)
4.850	18.29	13.3
3.638	24.47	15.6
2.818	31.76	29.7
2.791	32.07	100.0
2.559	35.06	36.9
2.425	37.07	11.9
2.222	40.61	10.8
2.048	44.21	13.4
1.820	50.12	13.7
1.774	51.52	15.1
1.764	51.81	22.3
1.757	52.04	13.2

---

(3)
Diffraction record for Ce2AlSi2O9. The X-ray powder pattern is simulated, not measured: it uses the PBE geometry in the Materials Project and Cu Kα (weighted mean of Kα1 and Kα2).
Lines closer than 0.1° are merged.

Cell and atoms:
abc: 7.8392 5.6959 16.5615
angles: 90.00 112.00 90.00
Space group P2_1/c (No. 14)
Asymmetric unit:
1 Ce 0.1902 0.2016 0.3628 (multiplicity 4)
2 Ce 0.2262 0.7064 0.5610 (multiplicity 4)
3 Al 0.4892 0.5029 0.2486 (multiplicity 4)
4 Si 0.0864 0.2262 0.6542 (multiplicity 4)
5 Si 0.4855 0.7493 0.9172 (multiplicity 4)
6 O 0.0033 0.6673 0.7731 (multiplicity 4)
7 O 0.0085 0.0359 0.0946 (multiplicity 4)
8 O 0.0320 0.5056 0.0895 (multiplicity 4)
9 O 0.3097 0.1924 0.0091 (multiplicity 4)
10 O 0.3119 0.2466 0.2080 (multiplicity 4)
11 O 0.3317 0.6829 0.9581 (multiplicity 4)
12 O 0.3444 0.7369 0.7037 (multiplicity 4)
13 O 0.4394 0.5087 0.3572 (multiplicity 4)
14 O 0.4767 0.5079 0.8602 (multiplicity 4)

The 12 most intense peaks (2θ = 5–70°), by angle:
d [Å]	two_theta	I (rel.)
4.575	19.40	71.7
3.840	23.16	31.8
3.532	25.21	55.2
3.217	27.73	100.0
2.967	30.12	23.7
2.878	31.07	47.0
2.848	31.41	33.3
2.759	32.45	28.9
2.631	34.08	26.6
2.242	40.23	33.8
1.933	47.00	22.9
1.844	49.44	39.6

---

(4)
Diffraction record for LiAlSi4O10. The X-ray powder pattern is simulated, not measured: it uses the PBE geometry in the Materials Project and Cu Kα (weighted mean of Kα1 and Kα2).
Lines closer than 0.1° are merged.

Cell and atoms:
abc: 7.7338 5.2279 11.9480
angles: 90.00 113.13 90.00
Space group P2/c (No. 13)
Asymmetric unit:
1 Li 0.0000 0.2425 0.2500 (multiplicity 2)
2 Al 0.0000 0.2579 0.7500 (multiplicity 2)
3 Si 0.2894 0.0048 0.4981 (multiplicity 4)
4 Si 0.2895 0.4991 0.1479 (multiplicity 4)
5 O 0.1336 0.0380 0.8612 (multiplicity 4)
6 O 0.1350 0.4779 0.7081 (multiplicity 4)
7 O 0.2493 0.2872 0.5410 (multiplicity 4)
8 O 0.2715 0.2125 0.0906 (multiplicity 4)
9 O 0.5000 0.0000 0.0000 (multiplicity 2)
10 O 0.5000 0.4566 0.7500 (multiplicity 2)

The 12 most intense peaks (2θ = 5–70°), by angle:
d [Å]	two_theta	I (rel.)
3.792	23.46	100.0
3.727	23.88	37.1
3.701	24.05	35.1
3.556	25.04	15.9
3.035	29.43	4.9
2.614	34.31	7.2
2.103	43.02	7.7
2.089	43.31	6.6
1.967	46.15	11.7
1.661	55.29	7.4
1.505	61.63	5.5
1.500	61.86	5.2

---

(5)
Diffraction record for Mg5Si9. The X-ray powder pattern is simulated, not measured: it uses the PBE geometry in the Materials Project and Cu Kα (weighted mean of Kα1 and Kα2).
Lines closer than 0.1° are merged.

Cell and atoms:
abc: 6.0534 6.8610 13.5682
angles: 104.50 93.15 106.83
Space group P1 (No. 1)
Asymmetric unit:
1 Mg 0.0000 0.0000 0.0000 (multiplicity 1)
2 Mg 0.0086 0.5248 0.9310 (multiplicity 1)
3 Mg 0.0920 0.7595 0.3266 (multiplicity 1)
4 Mg 0.1391 0.2785 0.3651 (multiplicity 1)
5 Mg 0.2205 0.3751 0.7788 (multiplicity 1)
6 Mg 0.3611 0.1469 0.6472 (multiplicity 1)
7 Mg 0.5586 0.7769 0.8470 (multiplicity 1)
8 Mg 0.7708 0.0972 0.1668 (multiplicity 1)
9 Mg 0.8026 0.6067 0.6928 (multiplicity 1)
10 Mg 0.8369 0.0751 0.6414 (multiplicity 1)
11 Si 0.0423 0.4973 0.5711 (multiplicity 1)
12 Si 0.0477 0.8787 0.5240 (multiplicity 1)
13 Si 0.1028 0.9203 0.8148 (multiplicity 1)
14 Si 0.1954 0.3117 0.1263 (multiplicity 1)
15 Si 0.2400 0.6503 0.1650 (multiplicity 1)
16 Si 0.4015 0.6059 0.4957 (multiplicity 1)
17 Si 0.4129 0.3779 0.9843 (multiplicity 1)
18 Si 0.4186 0.7588 0.6444 (multiplicity 1)
19 Si 0.4332 0.1289 0.2618 (multiplicity 1)
20 Si 0.4413 0.0755 0.9264 (multiplicity 1)
21 Si 0.4457 0.0111 0.4529 (multiplicity 1)
22 Si 0.5466 0.8111 0.0626 (multiplicity 1)
23 Si 0.5679 0.6064 0.3170 (multiplicity 1)
24 Si 0.6297 0.3733 0.4846 (multiplicity 1)
25 Si 0.7352 0.2265 0.8158 (multiplicity 1)
26 Si 0.7480 0.9250 0.3752 (multiplicity 1)
27 Si 0.7730 0.4295 0.2516 (multiplicity 1)
28 Si 0.7748 0.5696 0.0692 (multiplicity 1)

The 12 most intense peaks (2θ = 5–70°), by angle:
d [Å]	two_theta	I (rel.)
3.492	25.51	59.5
3.289	27.11	36.3
3.211	27.79	40.8
3.159	28.25	36.8
2.887	30.97	100.0
2.561	35.04	45.1
2.546	35.25	40.1
2.502	35.89	66.4
2.315	38.90	36.9
2.302	39.14	56.4
2.255	39.98	43.7
2.212	40.78	34.4

---

(6)
Diffraction record for Ba2ErMgRuO6. The X-ray powder pattern is simulated, not measured: it uses the PBE geometry in the Materials Project and Cu Kα (weighted mean of Kα1 and Kα2).
Lines closer than 0.1° are merged.

Cell and atoms:
abc: 10.3356 5.9584 6.5515
angles: 90.00 122.43 90.00
Space group Cm (No. 8)
Asymmetric unit:
1 Ba 0.0000 0.0000 0.0000 (multiplicity 2)
2 Ba 0.0452 0.5000 0.6404 (multiplicity 2)
3 Er 0.2078 0.0000 0.6265 (multiplicity 2)
4 Mg 0.3772 0.0000 0.1268 (multiplicity 2)
5 Ru 0.2351 0.5000 0.2111 (multiplicity 2)
6 O 0.2244 0.2599 0.4245 (multiplicity 4)
7 O 0.2406 0.2463 0.9703 (multiplicity 4)
8 O 0.4671 0.5000 0.4293 (multiplicity 2)
9 O 0.4836 0.0000 0.9625 (multiplicity 2)

The 12 most intense peaks (2θ = 5–70°), by angle:
d [Å]	two_theta	I (rel.)
4.395	20.21	15.2
3.254	27.41	14.8
3.223	27.67	29.0
2.981	29.97	100.0
2.799	31.98	21.8
2.776	32.24	10.4
2.197	41.08	19.3
2.038	44.44	12.0
2.027	44.72	12.0
2.017	44.94	12.2
1.721	53.22	20.2
1.491	62.29	18.0